Simulated powder diffraction line list of Na4Zn5P6 for copper Kα, from a DFT-relaxed cell (PBE, Alexandria).
Peak positions follow from Bragg's law for the DFT cell and can differ from measured ones.

Most intense lines, 5 to 70 degrees two-theta, by intensity:
two_theta, I/Imax
11.11, 100
47.06, 58
28.29, 50
34.91, 43
45.13, 34
40.15, 23
19.30, 23
42.47, 22
33.84, 21
45.67, 21
33.38, 18
29.49, 16

abc: 9.473 9.473 15.893
angles: 90.00 90.00 155.51
Element x y z (fractional)
Na  0.001  0.999  0.500
Na  0.002  0.998  0.754
Na  0.181  0.819  0.307
Na  0.181  0.819  0.946
Na  0.819  0.181  0.446
Na  0.819  0.181  0.807
Na  0.998  0.002  0.254
Na  0.999  0.001  0.000
Zn  0.132  0.868  0.627
Zn  0.278  0.722  0.627
Zn  0.364  0.636  0.263
Zn  0.364  0.636  0.990
Zn  0.431  0.569  0.627
Zn  0.569  0.431  0.127
Zn  0.636  0.364  0.490
Zn  0.636  0.364  0.763
Zn  0.722  0.278  0.127
Zn  0.868  0.132  0.127
P  0.137  0.863  0.127
P  0.207  0.793  0.497
P  0.207  0.793  0.756
P  0.443  0.557  0.127
P  0.443  0.557  0.387
P  0.444  0.556  0.867
P  0.556  0.444  0.367
P  0.557  0.443  0.627
P  0.557  0.443  0.887
P  0.793  0.207  0.256
P  0.793  0.207  0.997
P  0.863  0.137  0.627